The following is a computed XRD peak list of SrTiFeBiO6. It was derived from a crystal structure in Alexandria, relaxed with PBE+U, using Cu Kα X-rays.
Lines closer than 0.1° are merged.

Atomic structure:
a b c (Å): 5.6348 5.6348 13.9004
angles (deg): 90.00 90.00 120.00
Space group R3 (No. 146, hexagonal axes)
Unique sites:
Sr  0.0000  0.0000  0.0000 (multiplicity 3)
Ti  0.0000  0.0000  0.2498 (multiplicity 3)
Fe  0.0000  0.0000  0.7584 (multiplicity 3)
Bi  0.0000  0.0000  0.4751 (multiplicity 3)
O  0.0194  0.5595  0.0225 (multiplicity 9)
O  0.1116  0.3378  0.8502 (multiplicity 9)

Principal peaks in the range 10° ≤ 2θ ≤ 90°, in order of falling intensity:
index  2θ (°)  intensity
1 1 0  31.8  100.0
1 0 4  31.6  95.5
3 0 0  56.5  62.0
0 2 4  45.4  52.6
0 1 2  22.3  49.0
1 0 1  19.3  32.6
2 0 2  39.1  29.9
2 -1 3  37.4  29.1